Starting from a crystal structure in Alexandria, relaxed with GGA-PBE, the XRD peak list of Li5PdAu2 was computed for Cu Kα X-rays.
No peak broadening, texture or thermal motion is included.

Cell and atoms:
```
16
Lattice="2.2451 -3.8217 0.0000 2.2451 3.8217 0.0000 0.0000 0.0000 14.3533" Properties=species:S:1:pos:R:3 pbc="T T T"
Li 2.2451 3.7653 8.3629
Li 2.2451 3.7653 13.1671
Li 2.2451 1.3672 3.5883
Li 2.2451 1.2013 9.3295
Li 2.2451 1.2013 12.2005
Li 2.2451 -1.2013 2.1528
Li 2.2451 -1.2013 5.0239
Li 2.2451 -1.3672 10.7650
Li 2.2451 -3.7653 1.1862
Li 2.2451 -3.7653 5.9904
Pd 2.2451 3.7051 10.7650
Pd 2.2451 -3.7051 3.5883
Au 2.2451 1.2983 0.7007
Au 2.2451 1.2983 6.4760
Au 2.2451 -1.2983 7.8773
Au 2.2451 -1.2983 13.6527
```

Top 10 peaks for 2θ from 10° to 90°, by angle:
2θ (°), Rel. int.
12.3, 88
26.2, 100
26.4, 55
29.7, 86
29.9, 31
39.1, 66
39.3, 36
40.2, 35
40.7, 66
57.4, 24